Starting from a crystal structure in the Materials Project, relaxed with PBE, the X-ray diffraction stick pattern of Cs3AlAs2 was computed for a wavelength of 1.5418 Å.
Kinematic intensities with the Lorentz-polarization factor, no thermal factor.

Crystal structure
a b c (Å): 11.6434 8.9896 19.7605
angles (deg): 90.00 100.03 90.00
Positions (direct):
1 Cs 0.0819 0.0562 0.2428
2 Cs 0.0819 0.4438 0.7428
3 Cs 0.1508 0.5253 0.9679
4 Cs 0.1508 0.9747 0.4679
5 Cs 0.2604 0.0892 0.9221
6 Cs 0.2604 0.4108 0.4221
7 Cs 0.2932 0.1162 0.6610
8 Cs 0.2932 0.3838 0.1610
9 Cs 0.3609 0.7452 0.2892
10 Cs 0.3609 0.7548 0.7892
11 Cs 0.3757 0.5725 0.6106
12 Cs 0.3757 0.9275 0.1106
13 Cs 0.6243 0.0725 0.8894
14 Cs 0.6243 0.4275 0.3894
15 Cs 0.6391 0.2452 0.2108
16 Cs 0.6391 0.2548 0.7108
17 Cs 0.7068 0.6162 0.8390
18 Cs 0.7068 0.8838 0.3390
19 Cs 0.7396 0.5892 0.5779
20 Cs 0.7396 0.9108 0.0779
21 Cs 0.8492 0.0253 0.5321
22 Cs 0.8492 0.4747 0.0321
23 Cs 0.9181 0.5562 0.2572
24 Cs 0.9181 0.9438 0.7572
25 Al 0.0442 0.6131 0.5543
26 Al 0.0442 0.8869 0.0543
27 Al 0.4628 0.0542 0.4273
28 Al 0.4628 0.4458 0.9273
29 Al 0.5372 0.5542 0.0727
30 Al 0.5372 0.9458 0.5727
31 Al 0.9558 0.1131 0.9457
32 Al 0.9558 0.3869 0.4457
33 As 0.0568 0.1599 0.0639
34 As 0.0568 0.3401 0.5639
35 As 0.1040 0.7078 0.1411
36 As 0.1040 0.7922 0.6411
37 As 0.4016 0.1423 0.3126
38 As 0.4016 0.3577 0.8126
39 As 0.4918 0.7069 0.9674
40 As 0.4918 0.7931 0.4674
41 As 0.5082 0.2069 0.5326
42 As 0.5082 0.2931 0.0326
43 As 0.5984 0.6423 0.1874
44 As 0.5984 0.8577 0.6874
45 As 0.8960 0.2078 0.3589
46 As 0.8960 0.2922 0.8589
47 As 0.9432 0.6599 0.4361
48 As 0.9432 0.8401 0.9361

Largest 6 diffraction maxima, sorted by position, 2θ = 10–80°:
| 2θ (°) | d (Å) | I/Imax | (hkl) |
| --- | --- | --- | --- |
| 24.97 | 3.566 | 100 | 3 1 -1 |
| 25.86 | 3.445 | 37 | 2 2 -2 |
| 26.06 | 3.419 | 68 | 2 2 1 |
| 27.23 | 3.275 | 46 | 1 0 -6 |
| 29.02 | 3.077 | 42 | 1 2 4 |
| 30.85 | 2.898 | 23 | 2 1 -6 |